Cs2VS5O: computed X-ray diffraction stick pattern (Cu Kα (weighted mean of Kα1 and Kα2)), based on DFT lattice parameters and positions (GGA+U).
Intensities are scaled so that the largest is 100.

Structure:
```
Cs2VS5O
1.0
7.6368 0.0000 0.0000
0.0000 10.6514 0.0000
-4.8114 0.0000 13.3930
Cs V S O
8 4 20 4
direct
0.0039 0.0270 0.2348 Cs
0.0039 0.4730 0.7348 Cs
0.4671 0.7343 0.5806 Cs
0.4671 0.7657 0.0806 Cs
0.5329 0.2343 0.9194 Cs
0.5329 0.2657 0.4194 Cs
0.9961 0.5270 0.2652 Cs
0.9961 0.9730 0.7652 Cs
0.2540 0.1920 0.6202 V
0.2540 0.3080 0.1202 V
0.7460 0.6920 0.8798 V
0.7460 0.8080 0.3798 V
0.0510 0.2270 0.9689 S
0.0510 0.2730 0.4689 S
0.1399 0.5061 0.0488 S
0.1399 0.9939 0.5488 S
0.2458 0.0989 0.0534 S
0.2458 0.4011 0.5534 S
0.4271 0.7240 0.8191 S
0.4271 0.7760 0.3191 S
0.4985 0.0430 0.7065 S
0.4985 0.4570 0.2065 S
0.5015 0.5430 0.7935 S
0.5015 0.9570 0.2935 S
0.5729 0.2240 0.6809 S
0.5729 0.2760 0.1809 S
0.7542 0.5989 0.4466 S
0.7542 0.9011 0.9466 S
0.8601 0.0061 0.4512 S
0.8601 0.4939 0.9512 S
0.9490 0.7270 0.5311 S
0.9490 0.7730 0.0311 S
0.1645 0.2171 0.7098 O
0.1645 0.2829 0.2098 O
0.8355 0.7171 0.7902 O
0.8355 0.7829 0.2902 O
```

Most intense lines, 2θ = 15–90°, in order of rising 2θ:
- 2θ = 20.8°, 4.279 Å, I = 100, hkl 1 2 0
- 2θ = 21.0°, 4.237 Å, I = 39, hkl 1 0 2
- 2θ = 21.3°, 4.170 Å, I = 67, hkl 0 2 2
- 2θ = 24.8°, 3.594 Å, I = 33, hkl 2 0 0
- 2θ = 25.3°, 3.525 Å, I = 79, hkl 1 0 -4
- 2θ = 27.9°, 3.194 Å, I = 30, hkl 0 1 4
- 2θ = 29.2°, 3.058 Å, I = 38, hkl 2 2 -2
- 2θ = 31.6°, 2.835 Å, I = 29, hkl 0 2 4
- 2θ = 34.2°, 2.620 Å, I = 38, hkl 2 2 -4
- 2θ = 36.3°, 2.476 Å, I = 40, hkl 2 2 2